Entry 1:
Diffraction record for SmMnCo3Cu. The PXRD pattern is calculated, not measured: it uses a crystal structure in Alexandria, relaxed with GGA-PBE and copper Kα.

The 12 most intense peaks (10 to 90 degrees two-theta), low angle first:
2θ = 21.92°, rel. 6; 2θ = 30.16°, rel. 50; 2θ = 35.82°, rel. 32; 2θ = 41.60°, rel. 35; 2θ = 42.39°, rel. 100; 2θ = 44.69°, rel. 27; 2θ = 58.55°, rel. 15; 2θ = 60.90°, rel. 14; 2θ = 62.70°, rel. 20; 2θ = 68.88°, rel. 22; 2θ = 75.91°, rel. 15; 2θ = 80.78°, rel. 14

Crystal structure
```
SmMnCo3Cu
1.0
5.0135 0.0000 0.0000
-2.5068 4.3418 0.0000
0.0000 0.0000 4.0552
Sm Mn Co Cu
1 1 3 1
Direct
0.0000 0.0000 0.0000
0.6667 0.3333 0.0000
0.0013 0.5006 0.5000
0.4994 0.5006 0.5000
0.4994 0.9987 0.5000
0.3333 0.6667 0.0000
```



Entry 2:
Diffraction record for VCoCuMo2. The PXRD pattern is calculated, not measured: it uses a crystal structure in Alexandria, relaxed with GGA-PBE and copper Kα.

The 12 most intense peaks (10 to 90 degrees two-theta), low angle first:
2θ = 20.05°, rel. 19; 2θ = 20.23°, rel. 9; 2θ = 35.31°, rel. 100; 2θ = 40.74°, rel. 31; 2θ = 41.13°, rel. 60; 2θ = 46.18°, rel. 10; 2θ = 59.28°, rel. 38; 2θ = 59.57°, rel. 19; 2θ = 70.65°, rel. 12; 2θ = 71.18°, rel. 24; 2θ = 74.68°, rel. 19; 2θ = 89.25°, rel. 6

Crystal structure
```
VCoCuMo2
1.0
4.3896 0.0000 0.0000
0.0000 4.3896 0.0000
0.0000 0.0000 4.4291
V Co Cu Mo
1 1 1 2
Direct
0.0000 0.0000 0.0000
0.5000 0.5000 0.5000
0.0000 0.0000 0.5000
0.0000 0.5000 0.0000
0.5000 0.0000 0.0000
```



Entry 3:
Diffraction record for Co5CuN4. The PXRD pattern is calculated, not measured: it uses a crystal structure in Alexandria, relaxed with GGA-PBE and copper Kα.

The 12 most intense peaks (10 to 90 degrees two-theta), low angle first:
2θ = 38.36°, rel. 28; 2θ = 38.52°, rel. 100; 2θ = 40.10°, rel. 79; 2θ = 43.53°, rel. 24; 2θ = 54.15°, rel. 15; 2θ = 59.40°, rel. 26; 2θ = 66.13°, rel. 10; 2θ = 66.36°, rel. 9; 2θ = 68.41°, rel. 13; 2θ = 71.90°, rel. 13; 2θ = 76.56°, rel. 10; 2θ = 79.43°, rel. 16

Crystal structure
```
Co5CuN4
1.0
5.6350 0.0000 0.0000
0.0000 8.4776 0.0000
0.0000 0.0000 4.1579
Co Cu N
10 2 8
Direct
0.0229 0.0849 0.2320
0.0229 0.4151 0.2320
0.2500 0.7500 0.2084
0.4771 0.0849 0.2320
0.4771 0.4151 0.2320
0.5229 0.5849 0.7680
0.5229 0.9151 0.7680
0.7500 0.2500 0.7916
0.9771 0.5849 0.7680
0.9771 0.9151 0.7680
0.2500 0.2500 0.7796
0.7500 0.7500 0.2204
0.0172 0.7500 0.5084
0.2500 0.5470 0.0107
0.2500 0.9530 0.0107
0.4828 0.7500 0.5084
0.5172 0.2500 0.4916
0.7500 0.0470 0.9893
0.7500 0.4530 0.9893
0.9828 0.2500 0.4916
```



Entry 4:
Diffraction record for CoCuPd2N. The PXRD pattern is calculated, not measured: it uses a crystal structure in Alexandria, relaxed with GGA-PBE and copper Kα.

The 12 most intense peaks (10 to 90 degrees two-theta), low angle first:
2θ = 25.28°, rel. 7; 2θ = 29.81°, rel. 5; 2θ = 39.48°, rel. 100; 2θ = 42.67°, rel. 46; 2θ = 50.24°, rel. 4; 2θ = 51.91°, rel. 13; 2θ = 61.92°, rel. 14; 2θ = 67.98°, rel. 2; 2θ = 69.38°, rel. 20; 2θ = 75.96°, rel. 27; 2θ = 84.98°, rel. 11; 2θ = 89.67°, rel. 9

Crystal structure
```
CoCuPd2N
1.0
4.2383 0.0000 0.0000
0.0000 4.2383 0.0000
0.0000 0.0000 3.5229
Co Cu Pd N
1 1 2 1
Direct
0.0000 0.0000 0.0000
0.5000 0.5000 0.0000
0.0000 0.5000 0.5000
0.5000 0.0000 0.5000
0.0000 0.0000 0.5000
```



Entry 5:
Diffraction record for Nb2Co3Cu. The PXRD pattern is calculated, not measured: it uses a crystal structure in Alexandria, relaxed with GGA-PBE and copper Kα.

The 12 most intense peaks (10 to 90 degrees two-theta), low angle first:
2θ = 32.51°, rel. 25; 2θ = 33.92°, rel. 100; 2θ = 39.45°, rel. 22; 2θ = 41.43°, rel. 31; 2θ = 42.58°, rel. 15; 2θ = 43.71°, rel. 21; 2θ = 44.56°, rel. 28; 2θ = 45.93°, rel. 27; 2θ = 46.36°, rel. 16; 2θ = 49.41°, rel. 24; 2θ = 51.26°, rel. 23; 2θ = 85.77°, rel. 14

Crystal structure
```
Nb2Co3Cu
1.0
5.5710 -3.5007 0.0000
5.5710 3.5007 0.0000
0.0000 0.0000 4.4611
Nb Co Cu
4 6 2
Direct
0.0446 0.6791 0.7500
0.3209 0.9554 0.7500
0.6791 0.0446 0.2500
0.9554 0.3209 0.2500
0.0865 0.9135 0.2500
0.3021 0.3021 0.0000
0.3021 0.3021 0.5000
0.6979 0.6979 0.0000
0.6979 0.6979 0.5000
0.9135 0.0865 0.7500
0.4265 0.5735 0.2500
0.5735 0.4265 0.7500
```